Record 1
The following is a theoretical powder XRD pattern of Cd2Ir2O7. It was derived from DFT lattice parameters and positions (PBE), using Cu Kα X-rays.
Peak positions follow from Bragg's law for the DFT cell and can differ from measured ones.

Structure:
Cell: 10.1755 10.1755 10.1755 Å, 90.00 90.00 90.00°
Space group Fd-3m (No. 227, origin choice 2)
Unique sites:
Cd 0.0000 0.0000 0.0000 [16 per cell]
Ir 0.0000 0.0000 0.5000 [16 per cell]
O 0.0750 0.3750 0.8750 [48 per cell]
O 0.1250 0.1250 0.1250 [8 per cell]

Largest 8 diffraction maxima, by angle, 2θ from 5° to 70°:
hkl 1 1 1, 15.08 deg, rel. 10; hkl 3 1 1, 29.11 deg, rel. 7; hkl 2 2 2, 30.43 deg, rel. 100; hkl 4 0 0, 35.28 deg, rel. 36; hkl 3 3 3, 46.37 deg, rel. 2; hkl 4 4 0, 50.75 deg, rel. 44; hkl 6 2 2, 60.34 deg, rel. 42; hkl 4 4 4, 63.32 deg, rel. 11

Record 2
The following is a theoretical powder XRD pattern of Pr2CdIrO6. It was derived from DFT lattice parameters and positions (PBE), using Cu Kα X-rays.
Peak positions follow from Bragg's law for the DFT cell and can differ from measured ones.

Structure:
```
data_Pr2CdIrO6
_cell_length_a 5.5534
_cell_length_b 6.0152
_cell_length_c 9.7141
_cell_angle_alpha 90.00
_cell_angle_beta 124.51
_cell_angle_gamma 90.00
_space_group_name_H-M_alt 'P 1 21/c 1'
_space_group_IT_number 14
loop_
_space_group_symop_operation_xyz
'x,y,z'
'-x,-y,-z'
'-x,y+1/2,-z+1/2'
'x,-y+1/2,z+1/2'
loop_
_atom_site_label
_atom_site_type_symbol
_atom_site_fract_x
_atom_site_fract_y
_atom_site_fract_z
Pr1 Pr 0.2250 0.0741 0.2501
Cd1 Cd 0.5000 0.0000 0.0000
Ir1 Ir 0.0000 0.0000 0.5000
O1 O 0.0989 0.2098 0.9338
O2 O 0.2450 0.6799 0.9441
O3 O 0.3575 0.0480 0.7334
```

Largest 8 diffraction maxima, by angle, 2θ from 5° to 70°:
hkl 1 1 -2, 24.49 deg, rel. 20; hkl 0 2 0, 29.70 deg, rel. 42; hkl 1 1 1, 31.23 deg, rel. 100; hkl 1 1 -3, 31.38 deg, rel. 100; hkl 2 0 -2, 32.24 deg, rel. 47; hkl 2 2 -2, 44.40 deg, rel. 34; hkl 0 0 4, 45.32 deg, rel. 25; hkl 3 1 -5, 57.04 deg, rel. 21

Record 3
The following is a theoretical powder XRD pattern of Pr2TmCd3Ir2Pt. It was derived from DFT lattice parameters and positions (PBE), using Cu Kα X-rays.
Peak positions follow from Bragg's law for the DFT cell and can differ from measured ones.

Structure:
```
data_Pr2TmCd3Ir2Pt
_cell_length_a 4.0458
_cell_length_b 13.0541
_cell_length_c 7.5859
_cell_angle_alpha 90.00
_cell_angle_beta 90.00
_cell_angle_gamma 90.00
_space_group_name_H-M_alt 'A m m 2'
_space_group_IT_number 38
loop_
_space_group_symop_operation_xyz
'x,y,z'
'-x,-y,z'
'-x,y,z'
'x,-y,z'
'x,y+1/2,z+1/2'
'-x,-y+1/2,z+1/2'
'-x,y+1/2,z+1/2'
'x,-y+1/2,z+1/2'
loop_
_atom_site_label
_atom_site_type_symbol
_atom_site_fract_x
_atom_site_fract_y
_atom_site_fract_z
Pr1 Pr 0.0000 0.2055 0.0000
Tm1 Tm 0.0000 0.0000 0.6111
Cd1 Cd 0.5000 0.0000 0.9521
Cd2 Cd 0.5000 0.1274 0.3327
Ir1 Ir 0.5000 0.1594 0.7021
Pt1 Pt 0.0000 0.0000 0.2145
```

Largest 8 diffraction maxima, by angle, 2θ from 5° to 70°:
hkl 1 3 1, 32.41 deg, rel. 100; hkl 1 2 2, 35.23 deg, rel. 81; hkl 1 4 0, 35.34 deg, rel. 53; hkl 0 4 2, 36.35 deg, rel. 26; hkl 0 3 3, 41.29 deg, rel. 38; hkl 1 4 2, 42.87 deg, rel. 33; hkl 2 0 0, 44.80 deg, rel. 36; hkl 1 7 3, 66.47 deg, rel. 27

Record 4
The following is a theoretical powder XRD pattern of Cd3SiIr5. It was derived from DFT lattice parameters and positions (PBE), using Cu Kα X-rays.
Peak positions follow from Bragg's law for the DFT cell and can differ from measured ones.

Structure:
```
data_Cd3SiIr5
_cell_length_a 6.7702
_cell_length_b 6.7702
_cell_length_c 3.7819
_cell_angle_alpha 90.00
_cell_angle_beta 90.00
_cell_angle_gamma 120.00
_space_group_name_H-M_alt 'P -6 2 m'
_space_group_IT_number 189
_space_group_name_Hall 'P -6 -2'
loop_
_atom_site_label
_atom_site_type_symbol
_atom_site_fract_x
_atom_site_fract_y
_atom_site_fract_z
Cd1 Cd 0.0000 0.5863 0.0000
Si1 Si 0.0000 0.0000 0.0000
Ir1 Ir 0.0000 0.2427 0.5000
Ir2 Ir 0.3333 0.6667 0.5000
```

Largest 8 diffraction maxima, by angle, 2θ from 5° to 70°:
hkl 0 0 1, 23.52 deg, rel. 35; hkl 1 1 1, 35.59 deg, rel. 100; hkl 2 0 1, 38.87 deg, rel. 70; hkl 2 1 0, 40.72 deg, rel. 73; hkl 3 0 0, 46.46 deg, rel. 24; hkl 2 1 1, 47.56 deg, rel. 42; hkl 0 0 2, 48.12 deg, rel. 28; hkl 2 1 2, 64.82 deg, rel. 37

Record 5
The following is a theoretical powder XRD pattern of KCd14. It was derived from DFT lattice parameters and positions (PBE), using Cu Kα X-rays.
Peak positions follow from Bragg's law for the DFT cell and can differ from measured ones.

Structure:
```
data_KCd14
_cell_length_a 9.2029
_cell_length_b 9.2029
_cell_length_c 14.9994
_cell_angle_alpha 90.00
_cell_angle_beta 90.00
_cell_angle_gamma 120.00
_space_group_name_H-M_alt 'R -3 m'
_space_group_IT_number 166
_space_group_name_Hall '-R 3 2"'
loop_
_atom_site_label
_atom_site_type_symbol
_atom_site_fract_x
_atom_site_fract_y
_atom_site_fract_z
K1 K 0.0000 0.0000 0.0000
Cd1 Cd 0.0000 0.0000 0.2039
Cd2 Cd 0.0000 0.3390 0.5000
Cd3 Cd 0.1028 0.5514 0.3179
```

Largest 8 diffraction maxima, by angle, 2θ from 5° to 70°:
hkl 0 1 2, 16.23 deg, rel. 12; hkl 2 0 2, 25.31 deg, rel. 18; hkl 2 1 1, 30.26 deg, rel. 30; hkl 3 0 0, 33.74 deg, rel. 17; hkl 0 0 6, 35.92 deg, rel. 22; hkl 0 3 3, 38.36 deg, rel. 100; hkl 1 2 5, 42.53 deg, rel. 15; hkl 3 3 0, 60.35 deg, rel. 20

Record 6
The following is a theoretical powder XRD pattern of KCd13. It was derived from DFT lattice parameters and positions (PBE), using Cu Kα X-rays.
Peak positions follow from Bragg's law for the DFT cell and can differ from measured ones.

Structure:
```
data_KCd13
_cell_length_a 13.8519
_cell_length_b 13.8519
_cell_length_c 13.8519
_cell_angle_alpha 90.00
_cell_angle_beta 90.00
_cell_angle_gamma 90.00
_space_group_name_H-M_alt 'F m -3 c'
_space_group_IT_number 226
_space_group_name_Hall '-F 4a 2 3'
loop_
_atom_site_label
_atom_site_type_symbol
_atom_site_fract_x
_atom_site_fract_y
_atom_site_fract_z
K1 K 0.2500 0.2500 0.2500
Cd1 Cd 0.0000 0.0000 0.0000
Cd2 Cd 0.0000 0.1211 0.1801
```

Largest 8 diffraction maxima, by angle, 2θ from 5° to 70°:
hkl 2 0 0, 12.78 deg, rel. 34; hkl 4 2 0, 28.82 deg, rel. 11; hkl 4 2 2, 31.64 deg, rel. 43; hkl 5 3 1, 38.45 deg, rel. 100; hkl 6 0 0, 39.01 deg, rel. 51; hkl 7 5 3, 60.93 deg, rel. 19; hkl 9 3 1, 64.13 deg, rel. 9; hkl 10 0 0, 67.63 deg, rel. 9

Record 7
The following is a theoretical powder XRD pattern of KLuCdS3. It was derived from DFT lattice parameters and positions (PBE), using Cu Kα X-rays.
Peak positions follow from Bragg's law for the DFT cell and can differ from measured ones.

Structure:
```
data_KLuCdS3
_cell_length_a 4.0300
_cell_length_b 14.3817
_cell_length_c 10.5722
_cell_angle_alpha 90.00
_cell_angle_beta 90.00
_cell_angle_gamma 90.00
_space_group_name_H-M_alt 'C m c m'
_space_group_IT_number 63
_space_group_name_Hall '-C 2c 2'
loop_
_atom_site_label
_atom_site_type_symbol
_atom_site_fract_x
_atom_site_fract_y
_atom_site_fract_z
K1 K 0.0000 0.2415 0.2500
Lu1 Lu 0.0000 0.5000 0.0000
Cd1 Cd 0.0000 0.0439 0.7500
S1 S 0.0000 0.1239 0.5427
S2 S 0.0000 0.4342 0.7500
```

Largest 8 diffraction maxima, by angle, 2θ from 5° to 70°:
hkl 0 2 0, 12.31 deg, rel. 100; hkl 1 1 2, 28.53 deg, rel. 40; hkl 1 3 1, 30.18 deg, rel. 22; hkl 1 3 2, 33.64 deg, rel. 43; hkl 0 0 4, 33.92 deg, rel. 22; hkl 0 2 4, 36.21 deg, rel. 15; hkl 1 5 2, 42.22 deg, rel. 21; hkl 2 0 4, 57.48 deg, rel. 17

Record 8
The following is a theoretical powder XRD pattern of KLuCdSe3. It was derived from DFT lattice parameters and positions (PBE), using Cu Kα X-rays.
Peak positions follow from Bragg's law for the DFT cell and can differ from measured ones.

Structure:
```
data_KLuCdSe3
_cell_length_a 8.8175
_cell_length_b 4.1845
_cell_length_c 10.0255
_cell_angle_alpha 90.00
_cell_angle_beta 107.38
_cell_angle_gamma 90.00
_space_group_name_H-M_alt 'P 1 21/m 1'
_space_group_IT_number 11
loop_
_space_group_symop_operation_xyz
'x,y,z'
'-x,-y,-z'
'-x,y+1/2,-z'
'x,-y+1/2,z'
loop_
_atom_site_label
_atom_site_type_symbol
_atom_site_fract_x
_atom_site_fract_y
_atom_site_fract_z
K1 K 0.2150 0.2500 0.2390
Lu1 Lu 0.3310 0.7500 0.8677
Cd1 Cd 0.0858 0.2500 0.6104
Se1 Se 0.1118 0.2500 0.8758
Se2 Se 0.2383 0.7500 0.5445
Se3 Se 0.4627 0.7500 0.1536
```

Largest 8 diffraction maxima, by angle, 2θ from 5° to 70°:
hkl 1 0 -1, 11.75 deg, rel. 100; hkl 2 1 -1, 29.58 deg, rel. 32; hkl 2 1 0, 30.12 deg, rel. 36; hkl 1 0 3, 32.87 deg, rel. 18; hkl 1 1 -3, 34.42 deg, rel. 22; hkl 3 1 -1, 37.39 deg, rel. 15; hkl 0 2 0, 43.28 deg, rel. 40; hkl 3 1 2, 47.45 deg, rel. 12

Record 9
The following is a theoretical powder XRD pattern of K2Nd2TmMg3Cd. It was derived from DFT lattice parameters and positions (PBE), using Cu Kα X-rays.
Peak positions follow from Bragg's law for the DFT cell and can differ from measured ones.

Structure:
```
data_K2Nd2TmMg3Cd
_cell_length_a 4.8770
_cell_length_b 14.0352
_cell_length_c 8.4327
_cell_angle_alpha 90.00
_cell_angle_beta 90.00
_cell_angle_gamma 90.00
_space_group_name_H-M_alt 'A m m 2'
_space_group_IT_number 38
loop_
_space_group_symop_operation_xyz
'x,y,z'
'-x,-y,z'
'-x,y,z'
'x,-y,z'
'x,y+1/2,z+1/2'
'-x,-y+1/2,z+1/2'
'-x,y+1/2,z+1/2'
'x,-y+1/2,z+1/2'
loop_
_atom_site_label
_atom_site_type_symbol
_atom_site_fract_x
_atom_site_fract_y
_atom_site_fract_z
K1 K 0.0000 0.1652 0.0000
Nd1 Nd 0.5000 0.1846 0.3080
Tm1 Tm 0.5000 0.0000 0.8715
Mg1 Mg 0.0000 0.0000 0.2965
Mg2 Mg 0.0000 0.1089 0.6169
Cd1 Cd 0.5000 0.0000 0.5151
```

Largest 8 diffraction maxima, by angle, 2θ from 5° to 70°:
hkl 1 0 0, 18.19 deg, rel. 57; hkl 0 3 1, 21.72 deg, rel. 55; hkl 1 0 2, 27.97 deg, rel. 42; hkl 1 3 1, 28.48 deg, rel. 100; hkl 1 2 2, 30.79 deg, rel. 38; hkl 2 0 0, 36.86 deg, rel. 32; hkl 0 3 3, 37.32 deg, rel. 35; hkl 1 3 3, 41.82 deg, rel. 28

Record 10
The following is a theoretical powder XRD pattern of KNa8Cd4. It was derived from DFT lattice parameters and positions (PBE), using Cu Kα X-rays.
Peak positions follow from Bragg's law for the DFT cell and can differ from measured ones.

Structure:
```
data_KNa8Cd4
_cell_length_a 11.3648
_cell_length_b 11.3648
_cell_length_c 6.1615
_cell_angle_alpha 90.00
_cell_angle_beta 90.00
_cell_angle_gamma 90.00
_space_group_name_H-M_alt 'I 4/m m m'
_space_group_IT_number 139
_space_group_name_Hall '-I 4 2'
loop_
_atom_site_label
_atom_site_type_symbol
_atom_site_fract_x
_atom_site_fract_y
_atom_site_fract_z
K1 K 0.0000 0.0000 0.0000
Na1 Na 0.0000 0.2200 0.5000
Na2 Na 0.0000 0.3439 0.0000
Cd1 Cd 0.2500 0.2500 0.2500
```

Largest 8 diffraction maxima, by angle, 2θ from 5° to 70°:
hkl 2 0 0, 15.59 deg, rel. 100; hkl 2 2 0, 22.12 deg, rel. 42; hkl 4 0 0, 31.49 deg, rel. 45; hkl 2 0 2, 33.08 deg, rel. 63; hkl 4 2 0, 35.32 deg, rel. 43; hkl 2 2 2, 36.76 deg, rel. 49; hkl 4 2 2, 46.31 deg, rel. 32; hkl 6 0 2, 57.08 deg, rel. 16

Record 11
The following is a theoretical powder XRD pattern of K3Na4Cd. It was derived from DFT lattice parameters and positions (PBE), using Cu Kα X-rays.
Peak positions follow from Bragg's law for the DFT cell and can differ from measured ones.

Structure:
```
data_K3Na4Cd
_cell_length_a 5.9714
_cell_length_b 5.9714
_cell_length_c 9.1542
_cell_angle_alpha 90.00
_cell_angle_beta 90.00
_cell_angle_gamma 90.00
_space_group_name_H-M_alt 'P -4 m 2'
_space_group_IT_number 115
loop_
_space_group_symop_operation_xyz
'x,y,z'
'y,-x,-z'
'-x,-y,z'
'-y,x,-z'
'-x,y,z'
'-y,-x,-z'
'x,-y,z'
'y,x,-z'
loop_
_atom_site_label
_atom_site_type_symbol
_atom_site_fract_x
_atom_site_fract_y
_atom_site_fract_z
K1 K 0.0000 0.0000 0.0000
K2 K 0.0000 0.5000 0.7220
Na1 Na 0.0000 0.0000 0.5000
Na2 Na 0.0000 0.5000 0.2855
Na3 Na 0.5000 0.5000 0.0000
Cd1 Cd 0.5000 0.5000 0.5000
```

Largest 8 diffraction maxima, by angle, 2θ from 5° to 70°:
hkl 0 0 1, 9.66 deg, rel. 27; hkl 1 0 1, 17.73 deg, rel. 39; hkl 1 1 2, 28.77 deg, rel. 100; hkl 2 0 0, 29.93 deg, rel. 48; hkl 2 1 1, 35.00 deg, rel. 14; hkl 2 2 0, 42.83 deg, rel. 17; hkl 2 0 4, 50.23 deg, rel. 16; hkl 3 1 2, 52.42 deg, rel. 33

Record 12
The following is a theoretical powder XRD pattern of K2Cd2O5. It was derived from DFT lattice parameters and positions (PBE), using Cu Kα X-rays.
Peak positions follow from Bragg's law for the DFT cell and can differ from measured ones.

Structure:
```
data_K2Cd2O5
_cell_length_a 4.0938
_cell_length_b 4.0938
_cell_length_c 8.8920
_cell_angle_alpha 90.00
_cell_angle_beta 90.00
_cell_angle_gamma 90.00
_space_group_name_H-M_alt 'P 4/m m m'
_space_group_IT_number 123
_space_group_name_Hall '-P 4 2'
loop_
_atom_site_label
_atom_site_type_symbol
_atom_site_fract_x
_atom_site_fract_y
_atom_site_fract_z
K1 K 0.0000 0.0000 0.0000
K2 K 0.0000 0.0000 0.5000
Cd1 Cd 0.5000 0.5000 0.2395
O1 O 0.0000 0.5000 0.2925
O2 O 0.5000 0.5000 0.0000
```

Largest 8 diffraction maxima, by angle, 2θ from 5° to 70°:
hkl 0 0 2, 19.97 deg, rel. 27; hkl 1 0 0, 21.71 deg, rel. 34; hkl 1 0 2, 29.66 deg, rel. 100; hkl 1 1 0, 30.89 deg, rel. 35; hkl 2 0 0, 44.25 deg, rel. 28; hkl 1 1 4, 51.86 deg, rel. 19; hkl 2 1 2, 54.18 deg, rel. 34; hkl 2 0 4, 61.59 deg, rel. 15